1.
Computed powder diffractogram
Compound: Tb2Mn2BC2
Radiation: λ = 1.5418 Å (Cu Kα)
Structure: a crystal structure in Alexandria, relaxed with PBE

Atomic structure:
a b c (Å): 5.405 5.405 6.274
angles (deg): 121.95 121.95 38.14
Fractional coordinates of all 7 atoms:
Tb1 0.076 0.076 0.334
Tb2 0.924 0.924 0.666
Mn1 0.291 0.291 0.913
Mn2 0.709 0.709 0.087
B1 0.500 0.500 0.000
C1 0.296 0.296 0.232
C2 0.704 0.704 0.768

Largest 10 diffraction maxima, most intense first, 2θ from 10° to 90°:
2θ/deg, I/Imax
27.4, 100.0
36.7, 95.3
39.4, 94.2
34.0, 86.4
28.5, 65.5
35.5, 63.5
35.7, 50.9
51.8, 31.4
40.4, 29.1
36.8, 29.0

***

2.
Computed powder diffractogram
Compound: TaB2Mo3C2
Radiation: λ = 1.5418 Å (Cu Kα)
Structure: a crystal structure in Alexandria, relaxed with PBE

Atomic structure:
a b c (Å): 3.105 8.927 8.927
angles (deg): 20.22 90.00 90.00
Fractional coordinates of all 8 atoms:
Ta1 0.000 0.000 0.000
B1 0.000 0.844 0.844
B2 0.500 0.787 0.787
Mo1 0.000 0.244 0.244
Mo2 0.500 0.384 0.384
Mo3 0.500 0.632 0.632
C1 0.000 0.125 0.125
C2 0.500 0.507 0.507

Largest 10 diffraction maxima, most intense first, 2θ from 10° to 90°:
2θ/deg, I/Imax
35.4, 100.0
41.3, 88.3
38.5, 51.4
32.4, 51.1
41.1, 38.3
10.1, 31.0
55.4, 28.1
63.6, 27.0
70.7, 26.9
73.2, 18.0